Diffraction record for Cs2PdI2Br4. The powder XRD pattern is simulated, not measured: it uses DFT lattice parameters and positions (PBE) and Cu Kα (weighted mean of Kα1 and Kα2).
No peak broadening, texture or thermal motion is included.

Structural model:
Cell lengths 8.699, 8.699, 9.132 Å; angles 90.00, 90.00, 90.00 degrees
Space group I4/mmm (No. 139)
Asymmetric unit:
Cs1 0.000 0.500 0.250
Pd1 0.000 0.000 0.000
I1 0.000 0.000 0.342
Br1 0.202 0.202 0.000

Most intense lines, 2θ from 10° to 90°, by angle:
| two_theta | Rel. int. | (hkl) |
| --- | --- | --- |
| 20.4 | 408 | 2 0 0 |
| 24.3 | 395 | 1 1 2 |
| 28.3 | 819 | 2 0 2 |
| 29.0 | 1000 | 2 2 0 |
| 31.1 | 484 | 1 0 3 |
| 37.5 | 213 | 2 1 3 |
| 41.5 | 284 | 4 0 0 |
| 46.7 | 205 | 4 2 0 |
| 48.1 | 441 | 3 2 3 |
| 61.4 | 198 | 5 0 3 |